# Mg2SeS
Theoretical XRD peak list, Cu Kα (λ = 1.5418 Å). Input: the GGA-PBE geometry in the Materials Project.

Atomic structure:
```
data_Mg2SeS
_symmetry_space_group_name_H-M 'P -4 m 2'
_symmetry_Int_Tables_number 115
_symmetry_space_group_name_Hall 'P -4 -2'
_cell_length_a 4.1345
_cell_length_b 4.1345
_cell_length_c 5.8466
_cell_angle_alpha 90.00
_cell_angle_beta 90.00
_cell_angle_gamma 90.00
loop_
_atom_site_label
_atom_site_fract_x
_atom_site_fract_y
_atom_site_fract_z
_atom_site_occupancy
Mg1 0.0000 0.5000 0.2375 1
Se1 0.0000 0.0000 0.5000 1
S1 0.5000 0.5000 0.0000 1
```

The 10 most intense peaks (15 to 90 degrees two-theta), sorted by position:
2θ/deg, I/Imax
15.15, 9
21.49, 10
26.40, 100
30.58, 12
43.79, 63
51.86, 42
63.66, 10
70.16, 17
80.47, 20
86.49, 13